No. 1
For SnP2O6, a DFT-relaxed cell (PBE, the Materials Project) gives the simulated powder diffraction line list in this record (CuKα).
Peak positions follow from Bragg's law for the DFT cell and can differ from measured ones.

abc: 5.2979 15.0451 8.1022
angles: 90.00 109.70 90.00
Space group P2_1/c (No. 14)
Symmetry-distinct sites (fractional):
Sn  0.1122  0.0625  0.2686 x4
P  0.4660  0.6564  0.7987 x4
P  0.4826  0.1637  0.0615 x4
O  0.2128  0.1609  0.0887 x4
O  0.2361  0.5927  0.7348 x4
O  0.2897  0.1327  0.5477 x4
O  0.3413  0.5830  0.3753 x4
O  0.3469  0.7490  0.3388 x4
O  0.4278  0.1852  0.8599 x4

Top 10 peaks for 5° ≤ 2θ ≤ 70°, low angle first:
(0 2 1), 16.55°, rel. 43
(1 2 -1), 21.26°, rel. 97
(1 2 0), 21.37°, rel. 100
(0 0 2), 23.32°, rel. 55
(1 0 -2), 24.11°, rel. 55
(1 1 1), 25.13°, rel. 95
(0 4 1), 26.42°, rel. 94
(1 4 -1), 29.69°, rel. 39
(2 1 -1), 34.38°, rel. 42
(1 6 0), 40.21°, rel. 45

---

No. 2
For NaH9O5, a DFT-relaxed cell (PBE, the Materials Project) gives the simulated powder diffraction line list in this record (CuKα).
Peak positions follow from Bragg's law for the DFT cell and can differ from measured ones.

abc: 4.3649 8.1010 9.1259
angles: 70.65 76.19 75.24
Space group P1 (No. 1)
Symmetry-distinct sites (fractional):
Na  0.0000  0.0000  0.0000 x1
Na  0.1349  0.4536  0.3797 x1
H  0.1219  0.7063  0.1269 x1
H  0.1262  0.8068  0.3165 x1
H  0.1324  0.2436  0.1834 x1
H  0.2709  0.5477  0.7568 x1
H  0.3359  0.1096  0.3196 x1
H  0.3884  0.6863  0.9655 x1
H  0.4881  0.2206  0.8443 x1
H  0.5255  0.4637  0.6321 x1
H  0.5412  0.9710  0.5115 x1
H  0.6063  0.5478  0.3861 x1
H  0.6105  0.0640  0.7710 x1
H  0.6191  0.8541  0.3952 x1
H  0.6304  0.2614  0.1399 x1
H  0.7161  0.2201  0.5108 x1
H  0.7252  0.5843  0.8037 x1
H  0.8384  0.3818  0.9976 x1
H  0.9194  0.6522  0.9073 x1
H  0.9698  0.0313  0.5369 x1
O  0.1693  0.6721  0.0224 x1
O  0.2969  0.2352  0.2468 x1
O  0.4320  0.9205  0.4557 x1
O  0.4769  0.4643  0.7500 x1
O  0.5255  0.0881  0.8749 x1
O  0.5920  0.4360  0.4696 x1
O  0.7468  0.0877  0.5679 x1
O  0.7766  0.6844  0.8274 x1
O  0.8561  0.2655  0.0751 x1
O  0.9746  0.7741  0.2724 x1

Top 10 peaks for 5° ≤ 2θ ≤ 70°, low angle first:
(0 0 2), 20.93°, rel. 27
(1 0 1), 22.15°, rel. 17
(1 1 2), 25.41°, rel. 100
(0 2 2), 26.81°, rel. 15
(0 1 -2), 26.96°, rel. 15
(0 2 -1), 28.66°, rel. 51
(0 1 3), 30.39°, rel. 16
(0 2 3), 33.77°, rel. 16
(0 3 1), 34.33°, rel. 34
(2 1 1), 41.40°, rel. 47